# LiV2H4O2F10
Theoretical powder diffractogram, a wavelength of 1.5418 Å. Input: a structure optimized by DFT (PBE+U).
No peak broadening, texture or thermal motion is included.

Crystal structure
```
LiV2H4O2F10
1.0
5.6764 0.0000 0.0000
1.9759 5.5467 0.0000
0.5773 0.3148 7.6310
Li V H O F
1 2 4 2 10
Cartesian
0.0000 0.0000 0.0000
4.9672 5.3129 6.0224
6.5199 2.6720 2.1869
4.6300 4.4675 1.4346
5.2649 4.8247 2.9830
5.9876 2.8979 5.3247
6.8337 3.4096 6.5792
5.2343 4.1825 2.2068
5.9874 3.5074 6.0955
1.4215 3.3847 0.5815
1.9549 3.7450 3.0543
1.9645 1.3002 6.1125
1.9905 1.3365 2.1384
3.5591 4.3161 5.5519
3.7719 4.7839 0.2572
5.4846 5.6122 4.2475
4.5519 0.4673 6.7181
5.3166 1.6758 1.2273
5.7731 2.1603 3.7425
```

Top 10 peaks for 2θ from 10° to 80°, low angle first:
2θ = 18.86°, intensity 100
2θ = 19.40°, intensity 54
2θ = 19.74°, intensity 53
2θ = 20.19°, intensity 49
2θ = 20.85°, intensity 31
2θ = 23.31°, intensity 33
2θ = 26.76°, intensity 46
2θ = 31.42°, intensity 28
2θ = 43.46°, intensity 37
2θ = 50.37°, intensity 13

# Na2MnAgF6
Theoretical powder diffractogram, a wavelength of 1.5418 Å. Input: a structure optimized by DFT (PBE+U).
No peak broadening, texture or thermal motion is included.

Crystal structure
```
Na2MnAgF6
1.0
0.0000 4.2726 4.2726
4.2726 0.0000 4.2726
4.2726 4.2726 0.0000
Na Mn Ag F
2 1 1 6
Cartesian
2.1363 2.1363 2.1363
6.4089 6.4089 6.4089
0.0000 0.0000 0.0000
4.2726 4.2726 4.2726
4.2726 4.2726 1.9547
4.2726 1.9547 4.2726
6.5905 4.2726 4.2726
1.9547 4.2726 4.2726
4.2726 6.5905 4.2726
4.2726 4.2726 6.5905
```

Top 10 peaks for 2θ from 10° to 80°, low angle first:
2θ = 20.79°, intensity 99
2θ = 29.57°, intensity 100
2θ = 34.82°, intensity 15
2θ = 42.31°, intensity 60
2θ = 46.31°, intensity 11
2θ = 47.59°, intensity 37
2θ = 52.46°, intensity 37
2θ = 61.37°, intensity 33
2θ = 65.54°, intensity 16
2θ = 69.58°, intensity 18

# La4MgNiO8
Theoretical powder diffractogram, a wavelength of 1.5418 Å. Input: a structure optimized by DFT (PBE+U).
No peak broadening, texture or thermal motion is included.

Crystal structure
```
La4MgNiO8
1.0
2.6571 -8.4173 0.0000
2.6571 8.4173 0.0000
0.0000 0.0000 5.0116
La Mg Ni O
4 1 1 8
Cartesian
2.6571 6.7176 0.0000
2.6571 3.0165 2.5058
2.6571 -3.0165 2.5058
2.6571 -6.7176 0.0000
2.6571 0.0000 2.5058
0.0000 0.0000 2.5058
2.6571 5.2394 2.5058
1.2523 0.0000 1.2142
1.2523 0.0000 3.7974
2.6571 2.8060 0.0000
2.6571 -2.8060 0.0000
4.0618 0.0000 1.2142
4.0618 0.0000 3.7974
2.6571 -5.2394 2.5058
```

Top 10 peaks for 2θ from 10° to 80°, low angle first:
2θ = 23.05°, intensity 43
2θ = 24.99°, intensity 99
2θ = 29.21°, intensity 100
2θ = 31.45°, intensity 71
2θ = 33.73°, intensity 65
2θ = 35.84°, intensity 55
2θ = 36.71°, intensity 73
2θ = 48.41°, intensity 45
2θ = 50.03°, intensity 59
2θ = 50.70°, intensity 59

# NaNbInWO6
Theoretical powder diffractogram, a wavelength of 1.5418 Å. Input: a structure optimized by DFT (PBE+U).
No peak broadening, texture or thermal motion is included.

Crystal structure
```
NaNbInWO6
1.0
0.0000 4.0277 4.0277
4.0277 0.0000 4.0277
4.0277 4.0277 0.0000
Na Nb In W O
1 1 1 1 6
Cartesian
0.0000 0.0000 0.0000
2.0139 2.0139 2.0139
4.0277 4.0277 4.0277
6.0416 6.0416 6.0416
6.0416 6.0416 4.0567
6.0416 4.0567 6.0416
8.0265 6.0416 6.0416
4.0567 6.0416 6.0416
6.0416 8.0265 6.0416
6.0416 6.0416 8.0265
```

Top 10 peaks for 2θ from 10° to 80°, low angle first:
2θ = 19.08°, intensity 24
2θ = 22.07°, intensity 24
2θ = 31.41°, intensity 100
2θ = 37.01°, intensity 14
2θ = 45.02°, intensity 32
2θ = 49.31°, intensity 6
2θ = 50.68°, intensity 10
2θ = 55.92°, intensity 40
2θ = 65.55°, intensity 19
2θ = 74.50°, intensity 17

# Ba2AlMo3O8
Theoretical powder diffractogram, a wavelength of 1.5418 Å. Input: a structure optimized by DFT (PBE+U).
No peak broadening, texture or thermal motion is included.

Crystal structure
```
Ba2AlMo3O8
1.0
11.7058 0.0000 0.0000
0.0000 2.9426 2.9973
0.0000 -2.9426 2.9973
Ba Al Mo O
2 1 3 8
Cartesian
2.0792 0.0000 0.0000
9.6266 0.0000 0.0000
5.8529 0.0000 0.8294
0.0000 0.0000 2.9741
4.2463 0.0000 2.9467
7.4596 0.0000 2.9467
0.0000 -1.4877 4.4594
0.0000 1.4877 4.4594
2.1165 0.0000 2.9858
4.4949 -1.6917 4.1653
4.4949 1.6917 4.1653
7.2109 -1.6917 4.1653
7.2109 1.6917 4.1653
9.5893 0.0000 2.9858
```

Top 10 peaks for 2θ from 10° to 80°, low angle first:
2θ = 22.49°, intensity 12
2θ = 26.12°, intensity 22
2θ = 29.81°, intensity 28
2θ = 30.38°, intensity 29
2θ = 31.29°, intensity 100
2θ = 38.45°, intensity 12
2θ = 43.08°, intensity 34
2θ = 53.85°, intensity 18
2θ = 54.55°, intensity 21
2θ = 59.10°, intensity 13

# Li2VOF4
Theoretical powder diffractogram, a wavelength of 1.5418 Å. Input: a structure optimized by DFT (PBE+U).
No peak broadening, texture or thermal motion is included.

Crystal structure
```
Li2VOF4
1.0
1.8187 -5.0350 0.0000
1.8187 5.0350 0.0000
0.0000 0.0000 10.3000
Li V O F
4 2 2 8
Cartesian
1.8187 3.6931 5.1500
1.8187 3.2215 1.7836
1.8187 -3.2215 6.9336
1.8187 -3.6931 0.0000
1.8187 3.6349 8.8853
1.8187 -3.6349 3.7353
1.8187 1.6037 3.6644
1.8187 -1.6037 8.8144
1.8187 4.6675 3.0483
1.8187 4.4883 0.3109
1.8187 2.7296 7.0622
1.8187 1.9451 9.9815
1.8187 -1.9451 4.8315
1.8187 -2.7296 1.9122
1.8187 -4.4883 5.4609
1.8187 -4.6675 8.1983
```

Top 10 peaks for 2θ from 10° to 80°, low angle first:
2θ = 17.22°, intensity 94
2θ = 19.63°, intensity 100
2θ = 26.05°, intensity 75
2θ = 27.47°, intensity 60
2θ = 31.54°, intensity 38
2θ = 39.30°, intensity 20
2θ = 39.86°, intensity 23
2θ = 47.70°, intensity 25
2θ = 50.16°, intensity 31
2θ = 58.92°, intensity 19

# Li3MnV4O12
Theoretical powder diffractogram, a wavelength of 1.5418 Å. Input: a structure optimized by DFT (PBE+U).
No peak broadening, texture or thermal motion is included.

Crystal structure
```
Li3MnV4O12
1.0
5.0333 0.0000 0.0000
-0.0923 5.4098 0.0000
-0.1206 -0.6385 7.3509
Li Mn V O
3 1 4 12
Cartesian
0.0000 0.0000 0.0000
-0.0263 -0.3028 3.6143
2.4494 2.4380 3.6452
2.3780 2.1995 7.2793
-0.0111 2.2004 2.1175
2.3397 4.5737 5.6319
2.4081 4.9757 2.0584
4.8754 1.7824 5.7419
0.6720 2.0946 0.2967
0.8792 3.6046 2.6477
0.9123 -0.0289 5.4046
1.5216 0.8827 2.6661
1.5367 2.7391 5.5623
1.8109 4.8639 0.4213
2.9959 4.4933 4.0234
3.3190 2.9818 1.7030
3.3926 0.5210 6.3503
3.8402 3.2395 6.4333
4.0573 0.3244 1.8113
4.3775 1.8003 4.0521
```

Top 10 peaks for 2θ from 10° to 80°, low angle first:
2θ = 23.97°, intensity 100
2θ = 24.22°, intensity 96
2θ = 24.42°, intensity 99
2θ = 33.25°, intensity 70
2θ = 33.36°, intensity 68
2θ = 33.50°, intensity 68
2θ = 35.15°, intensity 45
2θ = 54.30°, intensity 44
2θ = 54.57°, intensity 50
2θ = 63.24°, intensity 43